# MgFe2Os2
Calculated PXRD pattern, Cu Kα X-rays. Input: the GGA-PBE geometry in Alexandria.
Lines closer than 0.1° are merged.

Atomic structure:
a b c (Å): 7.281 7.281 2.636
angles (deg): 90.00 90.00 90.00
Space group P4/mbm (No. 127)
One atom of each set of equivalent atoms:
Mg 0.000 0.000 0.000 (multiplicity 2)
Fe 0.166 0.334 0.500 (multiplicity 4)
Os 0.127 0.627 0.000 (multiplicity 4)

Principal peaks in the range 10° ≤ 2θ ≤ 90°, low angle first:
- (1 1 0), 2θ = 17.22°, intensity 75
- (2 1 0), 2θ = 27.39°, intensity 44
- (0 0 1), 2θ = 34.01°, intensity 16
- (3 1 0), 2θ = 39.12°, intensity 43
- (2 1 1), 2θ = 44.20°, intensity 100
- (3 2 0), 2θ = 44.89°, intensity 24
- (4 0 0), 2θ = 50.12°, intensity 23
- (3 2 1), 2θ = 57.49°, intensity 24
- (4 0 1), 2θ = 61.95°, intensity 13
- (5 2 1), 2θ = 79.70°, intensity 19

***

# MgFeOs
Calculated PXRD pattern, Cu Kα X-rays. Input: the GGA-PBE geometry in Alexandria.
Lines closer than 0.1° are merged.

Atomic structure:
a b c (Å): 2.737 2.737 11.705
angles (deg): 90.00 90.00 90.00
Space group P4mm (No. 99)
One atom of each set of equivalent atoms:
Mg 0.000 0.000 0.000 (multiplicity 1)
Mg 0.500 0.500 0.231 (multiplicity 1)
Fe 0.500 0.500 0.542 (multiplicity 1)
Fe 0.500 0.500 0.838 (multiplicity 1)
Os 0.000 0.000 0.407 (multiplicity 1)
Os 0.000 0.000 0.708 (multiplicity 1)

Principal peaks in the range 10° ≤ 2θ ≤ 90°, low angle first:
- (0 0 2), 2θ = 15.14°, intensity 15
- (0 0 3), 2θ = 22.79°, intensity 29
- (1 0 0), 2θ = 32.72°, intensity 23
- (1 0 1), 2θ = 33.63°, intensity 17
- (1 0 3), 2θ = 40.25°, intensity 100
- (1 0 4), 2θ = 45.37°, intensity 44
- (1 1 0), 2θ = 46.95°, intensity 39
- (1 1 1), 2θ = 47.63°, intensity 14
- (1 1 7), 2θ = 75.08°, intensity 15
- (2 1 3), 2θ = 82.62°, intensity 25

***

# MgFePd14
Calculated PXRD pattern, Cu Kα X-rays. Input: the GGA-PBE geometry in Alexandria.
Lines closer than 0.1° are merged.

Atomic structure:
a b c (Å): 5.588 5.588 7.823
angles (deg): 90.00 90.00 90.00
Space group P4/mmm (No. 123)
One atom of each set of equivalent atoms:
Mg 0.000 0.000 0.000 (multiplicity 1)
Fe 0.500 0.500 0.000 (multiplicity 1)
Pd 0.000 0.000 0.500 (multiplicity 1)
Pd 0.000 0.500 0.000 (multiplicity 2)
Pd 0.000 0.500 0.500 (multiplicity 2)
Pd 0.253 0.253 0.245 (multiplicity 8)
Pd 0.500 0.500 0.500 (multiplicity 1)

Principal peaks in the range 10° ≤ 2θ ≤ 90°, low angle first:
- (0 0 1), 2θ = 11.31°, intensity 2
- (1 1 1), 2θ = 25.25°, intensity 2
- (2 0 2), 2θ = 39.64°, intensity 100
- (2 2 0), 2θ = 45.94°, intensity 33
- (0 0 4), 2θ = 46.43°, intensity 16
- (4 0 0), 2θ = 66.99°, intensity 10
- (2 2 4), 2θ = 67.38°, intensity 20
- (4 2 2), 2θ = 80.74°, intensity 24
- (2 0 6), 2θ = 81.46°, intensity 12
- (4 0 4), 2θ = 85.40°, intensity 10

***

# Mg2FePd6
Calculated PXRD pattern, Cu Kα X-rays. Input: the GGA-PBE geometry in Alexandria.
Lines closer than 0.1° are merged.

Atomic structure:
a b c (Å): 14.104 7.385 2.817
angles (deg): 90.00 101.43 90.00
Space group C2/m (No. 12)
One atom of each set of equivalent atoms:
Mg 0.166 0.000 0.167 (multiplicity 4)
Fe 0.000 0.500 0.500 (multiplicity 2)
Pd 0.000 0.198 0.000 (multiplicity 4)
Pd 0.165 0.311 0.666 (multiplicity 8)

Principal peaks in the range 10° ≤ 2θ ≤ 90°, low angle first:
- (0 2 0), 2θ = 24.10°, intensity 54
- (1 1 -1), 2θ = 34.06°, intensity 36
- (2 0 1), 2θ = 37.41°, intensity 70
- (6 0 0), 2θ = 39.09°, intensity 61
- (3 3 0), 2θ = 41.59°, intensity 83
- (2 2 1), 2θ = 45.00°, intensity 100
- (6 2 0), 2θ = 46.46°, intensity 18
- (1 3 -1), 2θ = 49.15°, intensity 23
- (5 1 1), 2θ = 52.80°, intensity 20
- (5 5 1), 2θ = 85.33°, intensity 23

***

# RbMgTlFe2
Calculated PXRD pattern, Cu Kα X-rays. Input: the GGA-PBE geometry in Alexandria.
Lines closer than 0.1° are merged.

Atomic structure:
a b c (Å): 5.280 5.280 6.014
angles (deg): 90.00 90.00 90.00
Space group P4/mmm (No. 123)
One atom of each set of equivalent atoms:
Rb 0.000 0.000 0.000 (multiplicity 1)
Mg 0.500 0.500 0.500 (multiplicity 1)
Tl 0.000 0.000 0.500 (multiplicity 1)
Fe 0.000 0.500 0.000 (multiplicity 2)

Principal peaks in the range 10° ≤ 2θ ≤ 90°, low angle first:
- (1 0 0), 2θ = 16.79°, intensity 100
- (1 1 0), 2θ = 23.83°, intensity 24
- (1 1 1), 2θ = 28.13°, intensity 58
- (0 0 2), 2θ = 29.71°, intensity 35
- (2 0 0), 2θ = 33.96°, intensity 50
- (1 0 2), 2θ = 34.32°, intensity 35
- (2 1 0), 2θ = 38.11°, intensity 26
- (2 0 2), 2θ = 45.73°, intensity 43
- (2 1 2), 2θ = 49.05°, intensity 26
- (2 2 2), 2θ = 58.17°, intensity 21

***

# Mg3FeRh4
Calculated PXRD pattern, Cu Kα X-rays. Input: the GGA-PBE geometry in Alexandria.
Lines closer than 0.1° are merged.

Atomic structure:
a b c (Å): 3.098 4.360 8.700
angles (deg): 90.00 90.00 90.00
Space group Pmmm (No. 47)
One atom of each set of equivalent atoms:
Mg 0.000 0.000 0.000 (multiplicity 1)
Mg 0.000 0.500 0.250 (multiplicity 2)
Fe 0.000 0.000 0.500 (multiplicity 1)
Rh 0.500 0.000 0.265 (multiplicity 2)
Rh 0.500 0.500 0.000 (multiplicity 1)
Rh 0.500 0.500 0.500 (multiplicity 1)

Principal peaks in the range 10° ≤ 2θ ≤ 90°, low angle first:
- (1 0 0), 2θ = 28.82°, intensity 14
- (0 1 2), 2θ = 29.00°, intensity 27
- (0 2 0), 2θ = 41.36°, intensity 100
- (0 0 4), 2θ = 41.52°, intensity 19
- (1 2 0), 2θ = 51.28°, intensity 11
- (0 2 4), 2θ = 60.09°, intensity 12
- (2 2 0), 2θ = 75.29°, intensity 13
- (1 3 2), 2θ = 75.49°, intensity 13
- (1 1 6), 2θ = 75.63°, intensity 11
- (2 2 4), 2θ = 89.82°, intensity 8